Starting from a DFT-relaxed cell (GGA+U, Alexandria), the powder diffraction line list of Li6CrO6 was calculated for copper Kα.
No peak broadening, texture or thermal motion is included.

Atomic structure:
Lattice parameters (Å, degrees): 9.795 5.648 11.034 90.00 91.26 90.00
Space group Cc (No. 9)
Asymmetric unit:
Li 0.000 0.005 0.000 (multiplicity 4)
Li 0.133 0.215 0.190 (multiplicity 4)
Li 0.136 0.195 0.754 (multiplicity 4)
Li 0.165 0.485 0.500 (multiplicity 4)
Li 0.339 0.401 0.691 (multiplicity 4)
Li 0.472 0.144 0.147 (multiplicity 4)
Cr 0.326 0.003 0.903 (multiplicity 4)
O 0.005 0.022 0.669 (multiplicity 4)
O 0.156 0.474 0.669 (multiplicity 4)
O 0.183 0.147 0.943 (multiplicity 4)
O 0.321 0.011 0.750 (multiplicity 4)
O 0.327 0.277 0.450 (multiplicity 4)
O 0.465 0.143 0.957 (multiplicity 4)

Principal peaks in the range 2θ = 10–90°, low angle first:
d = 5.516 Å, I 26, hkl 0 0 2; d = 4.894 Å, I 100, hkl 1 1 0; d = 3.702 Å, I 37, hkl 2 0 -2; d = 3.680 Å, I 58, hkl 1 1 -2; d = 3.640 Å, I 46, hkl 1 1 2; d = 3.622 Å, I 23, hkl 2 0 2; d = 2.825 Å, I 49, hkl 3 1 0; d = 2.757 Å, I 43, hkl 0 0 4; d = 2.736 Å, I 9, hkl 0 2 1; d = 1.631 Å, I 27, hkl 6 0 0